(1)
The following is a computed X-ray diffraction stick pattern of LiMn2P2H9O13. It was derived from a cell relaxed with PBE+U, using Cu Kα.
Intensities are scaled so that the largest is 100.

Peak list (10 most intense, 2θ = 5–70°, most intense first)
two_theta	d [Å]	I/Imax
13.09	6.765	100
25.58	3.483	80
15.74	5.629	67
26.73	3.335	62
20.53	4.327	36
36.76	2.445	30
37.86	2.376	29
19.59	4.532	22
32.39	2.764	21
46.49	1.953	19

Structure:
```
LiMn2P2H9O13
1.0
9.064 0.000 0.000
0.000 10.163 0.000
0.000 0.000 5.629
Li Mn P H O
2 4 4 18 26
Direct
0.000 0.000 0.000
0.500 0.500 0.000
0.152 0.396 0.924
0.348 0.896 0.924
0.652 0.104 0.924
0.848 0.604 0.924
0.149 0.680 0.657
0.351 0.180 0.657
0.649 0.820 0.657
0.851 0.320 0.657
0.000 0.500 0.256
0.020 0.751 0.232
0.150 0.211 0.265
0.193 0.869 0.310
0.242 0.022 0.312
0.258 0.522 0.312
0.307 0.369 0.310
0.350 0.711 0.265
0.480 0.251 0.232
0.500 0.000 0.256
0.520 0.749 0.232
0.650 0.289 0.265
0.693 0.631 0.310
0.742 0.478 0.312
0.758 0.978 0.312
0.807 0.131 0.310
0.850 0.789 0.265
0.980 0.249 0.232
0.000 0.500 0.081
0.021 0.345 0.667
0.070 0.219 0.144
0.180 0.800 0.825
0.183 0.718 0.394
0.205 0.951 0.208
0.239 0.559 0.727
0.261 0.059 0.727
0.295 0.451 0.208
0.317 0.218 0.394
0.320 0.300 0.825
0.430 0.719 0.144
0.479 0.845 0.667
0.500 0.000 0.081
0.521 0.155 0.667
0.570 0.281 0.144
0.680 0.700 0.825
0.683 0.782 0.394
0.705 0.549 0.208
0.739 0.941 0.727
0.761 0.441 0.727
0.795 0.049 0.208
0.817 0.282 0.394
0.820 0.200 0.825
0.930 0.781 0.144
0.979 0.655 0.667
```

***

(2)
The following is a computed X-ray diffraction stick pattern of CaV2O4. It was derived from a cell relaxed with PBE+U, using Cu Kα.
Intensities are scaled so that the largest is 100.

Peak list (10 most intense, 2θ = 5–70°, most intense first)
two_theta	d [Å]	I/Imax
15.85	5.592	100
47.54	1.913	28
47.42	1.917	27
47.73	1.906	26
38.12	2.361	21
60.87	1.522	21
37.75	2.383	21
32.01	2.796	20
37.90	2.374	18
42.13	2.145	14

Structure:
```
CaV2O4
1.0
5.245 0.000 0.000
0.000 11.184 0.000
-0.080 0.000 6.046
Ca V O
4 8 16
Direct
0.032 0.000 0.251
0.347 0.499 0.251
0.653 0.999 0.749
0.968 0.500 0.749
0.005 0.239 0.748
0.012 0.760 0.746
0.492 0.250 0.999
0.496 0.249 0.497
0.504 0.749 0.503
0.508 0.750 0.001
0.988 0.260 0.254
0.995 0.739 0.252
0.158 0.354 0.496
0.163 0.645 0.501
0.170 0.354 0.997
0.171 0.650 0.996
0.309 0.160 0.255
0.322 0.838 0.251
0.340 0.150 0.742
0.351 0.847 0.748
0.649 0.347 0.252
0.660 0.650 0.258
0.678 0.338 0.749
0.691 0.660 0.745
0.829 0.150 0.004
0.830 0.854 0.003
0.837 0.145 0.499
0.842 0.854 0.504
```

***

(3)
The following is a computed X-ray diffraction stick pattern of MgCo6O9F3. It was derived from a cell relaxed with PBE+U, using Cu Kα.
Intensities are scaled so that the largest is 100.

Peak list (10 most intense, 2θ = 5–70°, most intense first)
two_theta	d [Å]	I/Imax
29.30	3.048	100
35.64	2.519	83
23.95	3.716	79
56.17	1.638	42
50.16	1.819	36
40.58	2.223	33
31.30	2.858	26
43.41	2.085	24
67.38	1.390	22
38.73	2.325	21

Structure:
```
MgCo6O9F3
1.0
8.943 0.000 0.000
0.000 3.048 3.716
0.000 -3.048 3.716
Mg Co O F
1 6 9 3
Direct
0.000 0.000 0.000
0.000 0.363 0.363
0.188 0.731 0.731
0.341 0.293 0.293
0.500 0.865 0.865
0.659 0.293 0.293
0.812 0.731 0.731
0.000 0.579 0.979
0.000 0.979 0.579
0.180 0.470 0.470
0.343 0.606 0.986
0.343 0.986 0.606
0.500 0.118 0.118
0.657 0.606 0.986
0.657 0.986 0.606
0.820 0.470 0.470
0.188 0.098 0.098
0.500 0.478 0.478
0.812 0.098 0.098
```

***

(4)
The following is a computed X-ray diffraction stick pattern of Tm2MgCr2O8. It was derived from a cell relaxed with PBE+U, using Cu Kα.
Intensities are scaled so that the largest is 100.

Peak list (10 most intense, 2θ = 5–70°, most intense first)
two_theta	d [Å]	I/Imax
23.95	3.716	100
25.24	3.528	98
32.17	2.782	84
33.94	2.641	82
35.07	2.558	53
17.53	5.058	51
49.04	1.858	43
50.31	1.814	35
30.90	2.894	35
18.74	4.735	31

Structure:
```
Tm2MgCr2O8
1.0
4.708 -3.528 0.000
4.708 3.528 0.000
-3.935 0.000 5.058
Tm Mg Cr O
2 1 2 8
Direct
0.216 0.216 0.068
0.784 0.784 0.932
0.226 0.774 0.500
0.238 0.306 0.634
0.694 0.762 0.366
0.031 0.428 0.798
0.102 0.059 0.288
0.425 0.526 0.679
0.429 0.078 0.796
0.474 0.575 0.321
0.572 0.969 0.202
0.922 0.571 0.204
0.941 0.898 0.712
```

***

(5)
The following is a computed X-ray diffraction stick pattern of Li9Mn2Co5O16. It was derived from a cell relaxed with PBE+U, using Cu Kα.
Intensities are scaled so that the largest is 100.

Peak list (10 most intense, 2θ = 5–70°, most intense first)
two_theta	d [Å]	I/Imax
18.52	4.790	100
42.64	2.120	29
44.47	2.037	26
44.82	2.022	25
63.30	1.469	22
35.41	2.535	16
36.58	2.456	12
36.91	2.435	12
63.88	1.457	7
64.44	1.446	7

Structure:
```
Li9Mn2Co5O16
1.0
5.884 0.000 0.000
2.707 5.874 0.000
0.033 0.134 8.089
Li Mn Co O
9 2 5 16
Direct
0.000 0.000 0.000
0.006 0.000 0.503
0.117 0.239 0.241
0.254 0.495 0.998
0.369 0.755 0.762
0.495 0.998 0.508
0.639 0.243 0.242
0.747 0.493 0.000
0.875 0.755 0.763
0.245 0.499 0.503
0.872 0.754 0.247
0.129 0.240 0.756
0.365 0.755 0.247
0.503 0.997 0.002
0.638 0.238 0.758
0.749 0.496 0.505
0.005 0.017 0.748
0.132 0.259 0.510
0.160 0.226 0.988
0.224 0.522 0.259
0.243 0.487 0.738
0.366 0.737 0.486
0.384 0.758 0.022
0.519 0.003 0.765
0.522 0.974 0.247
0.593 0.279 0.508
0.616 0.240 0.989
0.736 0.489 0.737
0.756 0.508 0.269
0.853 0.759 0.017
0.893 0.721 0.495
0.989 0.985 0.256
```

***

(6)
The following is a computed X-ray diffraction stick pattern of BaNaCeMnO6. It was derived from a cell relaxed with PBE+U, using Cu Kα.
Intensities are scaled so that the largest is 100.

Peak list (10 most intense, 2θ = 5–70°, most intense first)
two_theta	d [Å]	I/Imax
30.45	2.936	100
54.11	1.695	39
18.51	4.794	36
43.60	2.076	35
35.87	2.504	24
63.36	1.468	21
47.74	1.905	12
57.69	1.598	8
66.63	1.404	8
21.40	4.152	7

Structure:
```
BaNaCeMnO6
1.0
0.000 4.152 4.152
4.152 0.000 4.152
4.152 4.152 0.000
Ba Na Ce Mn O
1 1 1 1 6
Direct
0.000 0.000 0.000
0.500 0.500 0.500
0.750 0.750 0.750
0.250 0.250 0.250
0.018 0.018 0.482
0.018 0.482 0.018
0.018 0.482 0.482
0.482 0.018 0.018
0.482 0.018 0.482
0.482 0.482 0.018
```

***

(7)
The following is a computed X-ray diffraction stick pattern of La3Mg2W2O12. It was derived from a cell relaxed with PBE+U, using Cu Kα.
Intensities are scaled so that the largest is 100.

Peak list (10 most intense, 2θ = 5–70°, most intense first)
two_theta	d [Å]	I/Imax
31.84	2.811	100
19.31	4.596	70
31.70	2.823	51
56.55	1.627	41
45.44	1.996	33
37.39	2.405	26
56.82	1.620	20
66.54	1.405	19
45.85	1.979	16
37.63	2.390	13

Structure:
```
La3Mg2W2O12
1.0
5.645 0.000 0.000
0.000 5.645 0.000
0.000 0.000 7.916
La Mg W O
3 2 2 12
Direct
0.000 0.000 0.000
0.000 0.000 0.500
0.500 0.500 0.000
0.000 0.500 0.253
0.500 0.000 0.747
0.000 0.500 0.743
0.500 0.000 0.257
0.000 0.500 0.506
0.000 0.500 0.995
0.235 0.243 0.765
0.235 0.757 0.765
0.243 0.235 0.235
0.243 0.765 0.235
0.500 0.000 0.005
0.500 0.000 0.494
0.757 0.235 0.235
0.757 0.765 0.235
0.765 0.243 0.765
0.765 0.757 0.765
```